1.
Starting from a PBE-relaxed structure, the powder diffraction line list of Ta2Ni was calculated for CuKα.
Intensities are scaled so that the largest is 100.

Most intense lines, 2θ = 5–70°, in order of rising 2θ:
- (2 0 0), d = 4.809 Å, 2θ 18.45, intensity 17.8
- (2 1 1), d = 3.310 Å, 2θ 26.94, intensity 21.7
- (4 1 0), d = 2.333 Å, 2θ 38.60, intensity 100.0
- (2 0 2), d = 2.282 Å, 2θ 39.49, intensity 23.9
- (3 3 0), d = 2.267 Å, 2θ 39.76, intensity 33.2
- (2 1 2), d = 2.220 Å, 2θ 40.64, intensity 95.3
- (4 1 1), d = 2.127 Å, 2θ 42.50, intensity 57.0
- (3 3 1), d = 2.077 Å, 2θ 43.58, intensity 44.4
- (2 2 2), d = 2.061 Å, 2θ 43.92, intensity 23.3
- (6 0 2), d = 1.363 Å, 2θ 68.87, intensity 16.8

Structural model:
Cell: 9.617 9.617 5.184 Å, 90.00 90.00 90.00°
Space group P4_2/mnm (No. 136)
Unique sites:
1 Ta 0.062 0.274 0.000 [8 per cell]
2 Ta 0.107 0.107 0.500 [4 per cell]
3 Ta 0.182 0.818 0.252 [8 per cell]
4 Ni 0.000 0.000 0.000 [2 per cell]
5 Ni 0.037 0.369 0.500 [8 per cell]



2.
Starting from a PBE-relaxed structure, the powder diffraction line list of TaNi28 was calculated for CuKα.
Intensities are scaled so that the largest is 100.

Most intense lines, 2θ = 5–70°, in order of rising 2θ:
- (1 1 0), d = 6.087 Å, 2θ 14.55, intensity 6.9
- (2 1 1), d = 3.515 Å, 2θ 25.34, intensity 3.3
- (3 1 0), d = 2.722 Å, 2θ 32.90, intensity 3.1
- (3 2 1), d = 2.301 Å, 2θ 39.15, intensity 10.5
- (4 0 0), d = 2.152 Å, 2θ 41.98, intensity 6.3
- (4 1 1), d = 2.029 Å, 2θ 44.66, intensity 100.0
- (3 3 2), d = 1.835 Å, 2θ 49.67, intensity 25.5
- (4 2 2), d = 1.757 Å, 2θ 52.04, intensity 12.6
- (4 3 1), d = 1.688 Å, 2θ 54.34, intensity 9.7
- (5 3 2), d = 1.397 Å, 2θ 67.01, intensity 3.4

Structural model:
Cell: 8.609 8.609 8.609 Å, 90.00 90.00 90.00°
Space group I-43m (No. 217)
Unique sites:
1 Ta 0.000 0.000 0.000 [2 per cell]
2 Ni 0.048 0.362 0.638 [24 per cell]
3 Ni 0.094 0.094 0.715 [24 per cell]
4 Ni 0.175 0.175 0.175 [8 per cell]